Structure and theoretical X-ray powder pattern of Ho12Co5Sn (a cell relaxed with PBE; Cu Kα (λ = 1.5418 Å)).
No peak broadening, texture or thermal motion is included.

Principal peaks in the range 15° ≤ 2θ ≤ 90°, in order of falling intensity:
| 2θ/deg | intensity |
| --- | --- |
| 32.66 | 100 |
| 34.83 | 53 |
| 35.42 | 53 |
| 35.81 | 47 |
| 30.24 | 37 |
| 30.05 | 30 |
| 60.79 | 29 |
| 28.92 | 26 |
| 55.30 | 24 |
| 38.56 | 20 |

Cell and atoms:
Lattice parameters (Å, degrees): 8.2340 8.2340 8.2340 110.90 110.69 106.86
Sites, in units of the cell vectors:
Ho: 0.0159 0.2089 0.8070
Ho: 0.1858 0.2912 0.4771
Ho: 0.1858 0.7088 0.8946
Ho: 0.3135 0.0078 0.6943
Ho: 0.3135 0.6192 0.3057
Ho: 0.4019 0.2089 0.1930
Ho: 0.5981 0.7911 0.8070
Ho: 0.6865 0.3808 0.6943
Ho: 0.6865 0.9922 0.3057
Ho: 0.8142 0.2912 0.1054
Ho: 0.8142 0.7088 0.5229
Ho: 0.9841 0.7911 0.1930
Co: 0.0000 0.0000 0.0000
Co: 0.1126 0.6126 0.5000
Co: 0.3774 0.0000 0.3774
Co: 0.6226 0.0000 0.6226
Co: 0.8874 0.3874 0.5000
Sn: 0.5000 0.5000 0.0000


Structure and theoretical X-ray powder pattern of AlInPbF6 (a cell relaxed with PBE; Cu Kα (λ = 1.5418 Å)).
No peak broadening, texture or thermal motion is included.

Principal peaks in the range 15° ≤ 2θ ≤ 90°, in order of falling intensity:
| 2θ/deg | intensity |
| --- | --- |
| 24.70 | 100 |
| 40.21 | 44 |
| 31.21 | 37 |
| 46.98 | 29 |
| 17.87 | 22 |
| 51.75 | 22 |
| 38.85 | 14 |
| 55.77 | 12 |
| 16.91 | 12 |
| 36.20 | 11 |

Cell and atoms:
Lattice parameters (Å, degrees): 5.2430 5.7259 5.7326 60.06 89.97 89.94
Sites, in units of the cell vectors:
Al: 0.0000 0.0000 0.0000
In: 0.4238 0.3338 0.3328
Pb: 0.8857 0.6666 0.6665
F: 0.1951 0.3067 0.8095
F: 0.1947 0.8084 0.8841
F: 0.1946 0.8836 0.3069
F: 0.8024 0.1003 0.7007
F: 0.8022 0.2001 0.0996
F: 0.8017 0.7012 0.1989


Structure and theoretical X-ray powder pattern of LiLaPuO6 (a cell relaxed with PBE; Cu Kα (λ = 1.5418 Å)).
No peak broadening, texture or thermal motion is included.

Principal peaks in the range 15° ≤ 2θ ≤ 90°, in order of falling intensity:
| 2θ/deg | intensity |
| --- | --- |
| 25.69 | 100 |
| 19.07 | 40 |
| 48.75 | 29 |
| 33.34 | 26 |
| 42.56 | 25 |
| 55.12 | 25 |
| 39.73 | 11 |
| 56.70 | 11 |
| 75.95 | 10 |
| 77.30 | 10 |

Cell and atoms:
Lattice parameters (Å, degrees): 5.3744 5.3744 5.1969 90.00 90.00 120.00
Sites, in units of the cell vectors:
Li: 0.0000 0.0000 0.0000
La: 0.3333 0.6667 0.5000
Pu: 0.6667 0.3333 0.0000
O: 0.3568 0.0384 0.2151
O: 0.3568 0.3184 0.7849
O: 0.6816 0.0384 0.7849
O: 0.6816 0.6432 0.2151
O: 0.9616 0.3184 0.2151
O: 0.9616 0.6432 0.7849


Structure and theoretical X-ray powder pattern of V5Mo (a cell relaxed with PBE; Cu Kα (λ = 1.5418 Å)).
No peak broadening, texture or thermal motion is included.

Principal peaks in the range 15° ≤ 2θ ≤ 90°, in order of falling intensity:
| 2θ/deg | intensity |
| --- | --- |
| 42.22 | 100 |
| 42.27 | 20 |
| 61.25 | 18 |
| 77.27 | 18 |
| 77.15 | 17 |
| 21.91 | 5 |
| 29.51 | 3 |
| 37.07 | 3 |
| 27.75 | 2 |
| 40.96 | 2 |

Cell and atoms:
Lattice parameters (Å, degrees): 6.7753 6.7753 3.0253 90.00 90.00 143.21
Sites, in units of the cell vectors:
V: 0.0000 0.0000 0.0000
V: 0.1714 0.8286 0.5000
V: 0.3323 0.6677 0.0000
V: 0.6677 0.3323 0.0000
V: 0.8286 0.1714 0.5000
Mo: 0.5000 0.5000 0.5000


Structure and theoretical X-ray powder pattern of KUCl5 (a cell relaxed with PBE; Cu Kα (λ = 1.5418 Å)).
No peak broadening, texture or thermal motion is included.

Principal peaks in the range 15° ≤ 2θ ≤ 90°, in order of falling intensity:
| 2θ/deg | intensity |
| --- | --- |
| 19.44 | 100 |
| 15.59 | 91 |
| 20.48 | 41 |
| 18.19 | 38 |
| 18.35 | 34 |
| 33.37 | 29 |
| 31.49 | 27 |
| 35.26 | 27 |
| 37.14 | 26 |
| 31.95 | 25 |

Cell and atoms:
Lattice parameters (Å, degrees): 7.6130 7.6130 10.7405 110.14 110.14 69.43
Sites, in units of the cell vectors:
K: 0.0413 0.9587 0.7500
K: 0.9587 0.0413 0.2500
U: 0.5000 0.5000 0.0000
U: 0.5000 0.5000 0.5000
Cl: 0.1591 0.7385 0.0091
Cl: 0.2129 0.3483 0.3837
Cl: 0.2615 0.8409 0.4909
Cl: 0.3483 0.2129 0.8837
Cl: 0.4354 0.5646 0.7500
Cl: 0.5646 0.4354 0.2500
Cl: 0.6517 0.7871 0.1163
Cl: 0.7385 0.1591 0.5091
Cl: 0.7871 0.6517 0.6163
Cl: 0.8409 0.2615 0.9909


Structure and theoretical X-ray powder pattern of LiCa2HgF8 (a cell relaxed with PBE; Cu Kα (λ = 1.5418 Å)).
No peak broadening, texture or thermal motion is included.

Principal peaks in the range 15° ≤ 2θ ≤ 90°, in order of falling intensity:
| 2θ/deg | intensity |
| --- | --- |
| 26.33 | 100 |
| 26.87 | 94 |
| 21.15 | 91 |
| 29.49 | 85 |
| 19.13 | 82 |
| 29.80 | 63 |
| 45.51 | 59 |
| 47.36 | 57 |
| 25.20 | 55 |
| 43.01 | 53 |

Cell and atoms:
Lattice parameters (Å, degrees): 4.0116 5.4064 7.8342 83.81 88.76 83.31
Sites, in units of the cell vectors:
Li: 0.0000 0.0000 0.0000
Ca: 0.4947 0.4630 0.7744
Ca: 0.5053 0.5370 0.2256
Hg: 0.0000 0.0000 0.5000
F: 0.0401 0.2285 0.7737
F: 0.0521 0.2772 0.2880
F: 0.4088 0.7531 0.9654
F: 0.4534 0.7478 0.4824
F: 0.5466 0.2522 0.5176
F: 0.5912 0.2469 0.0346
F: 0.9479 0.7228 0.7120
F: 0.9599 0.7715 0.2263